No. 1
PuP2CO7: simulated X-ray powder pattern (Cu Kα), based on a GGA-PBE-relaxed structure.
Peak positions follow from Bragg's law for the DFT cell and can differ from measured ones.

Top 8 peaks for 5 to 70 degrees two-theta, low angle first:
2θ/deg  I_rel  index
13.6  37  1 0 0
15.1  32  1 0 -1
18.0  46  0 1 1
20.2  100  0 0 2
21.2  46  1 1 -1
21.8  31  1 0 -2
24.0  35  1 1 1
31.3  34  2 1 0

Structure:
a b c (Å): 6.6727 5.9426 8.9939
angles (deg): 90.00 102.74 90.00
Space group P2_1 (No. 4)
One atom of each set of equivalent atoms:
Pu (0.1265, 0.0000, 0.2887) (multiplicity 2)
P (0.1815, 0.0001, 0.9004) (multiplicity 2)
P (0.4839, 0.4981, 0.3271) (multiplicity 2)
C (0.4108, 0.9925, 0.8359) (multiplicity 2)
O (0.0610, 0.5035, 0.5918) (multiplicity 2)
O (0.0700, 0.7819, 0.8403) (multiplicity 2)
O (0.0724, 0.2177, 0.8373) (multiplicity 2)
O (0.2419, 0.0033, 0.0765) (multiplicity 2)
O (0.3246, 0.9949, 0.5445) (multiplicity 2)
O (0.3488, 0.2892, 0.3221) (multiplicity 2)
O (0.3566, 0.7135, 0.3161) (multiplicity 2)

No. 2
Sb2P2C2O7: simulated X-ray powder pattern (Cu Kα), based on a GGA-PBE-relaxed structure.
Peak positions follow from Bragg's law for the DFT cell and can differ from measured ones.

Top 8 peaks for 5 to 70 degrees two-theta, low angle first:
2θ/deg  I_rel  index
9.6  100  0 1 1
13.0  99  0 2 1
17.2  43  0 1 2
17.8  27  1 0 0
22.4  33  0 3 2
22.6  51  1 2 1
25.3  76  1 3 1
27.8  43  1 4 -1

Structure:
a b c (Å): 5.0100 17.6493 10.8185
angles (deg): 90.00 94.72 90.00
Space group P2_1/c (No. 14)
One atom of each set of equivalent atoms:
Sb (0.1031, 0.1852, 0.3479) (multiplicity 4)
Sb (0.1636, 0.0989, 0.0624) (multiplicity 4)
P (0.2805, 0.5402, 0.2353) (multiplicity 4)
P (0.3774, 0.6754, 0.6412) (multiplicity 4)
C (0.3868, 0.0531, 0.7068) (multiplicity 4)
C (0.4935, 0.6112, 0.7598) (multiplicity 4)
O (0.0881, 0.1873, 0.1654) (multiplicity 4)
O (0.1112, 0.5784, 0.1273) (multiplicity 4)
O (0.1131, 0.5293, 0.3487) (multiplicity 4)
O (0.1988, 0.6262, 0.5529) (multiplicity 4)
O (0.2319, 0.7450, 0.6906) (multiplicity 4)
O (0.3620, 0.1999, 0.9129) (multiplicity 4)
O (0.4575, 0.0841, 0.2356) (multiplicity 4)

No. 3
Sn2PCO6: simulated X-ray powder pattern (Cu Kα), based on a GGA-PBE-relaxed structure.
Peak positions follow from Bragg's law for the DFT cell and can differ from measured ones.

Top 8 peaks for 5 to 70 degrees two-theta, low angle first:
2θ/deg  I_rel  index
20.7  100  1 0 2
21.5  92  0 1 4
24.4  69  1 1 -2
24.6  73  0 1 5
25.4  99  1 1 2
29.9  93  0 2 1
31.6  78  0 0 8
32.5  78  1 1 -6

Structure:
a b c (Å): 4.8277 6.0334 22.7456
angles (deg): 90.00 94.88 90.00
Space group P2_1/c (No. 14)
One atom of each set of equivalent atoms:
Sn (0.2382, 0.1293, 0.0699) (multiplicity 4)
Sn (0.2491, 0.6501, 0.1840) (multiplicity 4)
P (0.2266, 0.7358, 0.8275) (multiplicity 4)
C (0.4378, 0.5841, 0.0210) (multiplicity 4)
O (0.0891, 0.1924, 0.6632) (multiplicity 4)
O (0.2545, 0.5931, 0.2777) (multiplicity 4)
O (0.2703, 0.5111, 0.0566) (multiplicity 4)
O (0.3474, 0.5058, 0.8131) (multiplicity 4)
O (0.3571, 0.6653, 0.3865) (multiplicity 4)
O (0.4892, 0.2159, 0.9832) (multiplicity 4)